1.
Simulated powder X-ray diffraction pattern
Compound: Ca2In12Cu7
Radiation: copper Kα
Structure: a crystal structure in Alexandria, relaxed with GGA-PBE
No peak broadening, texture or thermal motion is included.

Main lines, sorted by position (2θ = 10–90°):
- 2θ = 16.16°, I 22, hkl 1 1 0
- 2θ = 32.37°, I 100, hkl 2 1 1
- 2θ = 35.09°, I 14, hkl 3 0 1
- 2θ = 40.04°, I 33, hkl 4 -1 1
- 2θ = 41.43°, I 24, hkl 3 2 0
- 2θ = 41.65°, I 22, hkl 0 0 2
- 2θ = 43.44°, I 18, hkl 0 4 1
- 2θ = 43.66°, I 26, hkl 1 4 0
- 2θ = 60.20°, I 11, hkl 3 2 2
- 2θ = 61.92°, I 15, hkl 1 4 2
- 2θ = 70.18°, I 12, hkl 3 -2 3
- 2θ = 73.05°, I 13, hkl 5 3 1

Atomic structure:
Cell lengths 10.9698, 10.9698, 4.3368 Å; angles 90.00, 90.00, 120.00 degrees
Space group P-3 (No. 147)
Symmetry-distinct sites (fractional):
1 Ca 0.3333 0.6667 0.2599 [2 per cell]
2 In 0.0562 0.4411 0.7496 [6 per cell]
3 In 0.1143 0.2627 0.2497 [6 per cell]
4 Cu 0.0000 0.0000 0.5000 [1 per cell]
5 Cu 0.1270 0.7118 0.7574 [6 per cell]

---

2.
Simulated powder X-ray diffraction pattern
Compound: Li2ZnC2
Radiation: copper Kα
Structure: a crystal structure in Alexandria, relaxed with GGA-PBE
No peak broadening, texture or thermal motion is included.

Main lines, sorted by position (2θ = 10–90°):
- 2θ = 23.11°, I 89, hkl 1 1 0
- 2θ = 26.26°, I 87, hkl 0 0 1
- 2θ = 32.91°, I 76, hkl 2 0 0
- 2θ = 35.26°, I 75, hkl 1 1 1
- 2θ = 42.58°, I 100, hkl 2 0 1
- 2θ = 47.23°, I 31, hkl 2 2 0
- 2θ = 53.22°, I 38, hkl 3 1 0
- 2θ = 54.04°, I 15, hkl 0 0 2
- 2θ = 54.84°, I 30, hkl 2 2 1
- 2θ = 60.29°, I 41, hkl 3 1 1
- 2θ = 64.74°, I 18, hkl 2 0 2
- 2θ = 79.28°, I 22, hkl 3 1 2

Atomic structure:
Cell lengths 5.4431, 5.4431, 3.3937 Å; angles 90.00, 90.00, 90.00 degrees
Space group P4/mbm (No. 127)
Symmetry-distinct sites (fractional):
1 Li 0.1825 0.3175 0.0000 [4 per cell]
2 Zn 0.0000 0.0000 0.5000 [2 per cell]
3 C 0.0858 0.5858 0.5000 [4 per cell]

---

3.
Simulated powder X-ray diffraction pattern
Compound: SrCuSeBr2
Radiation: copper Kα
Structure: a crystal structure in Alexandria, relaxed with GGA-PBE
No peak broadening, texture or thermal motion is included.

Main lines, sorted by position (2θ = 10–90°):
- 2θ = 24.85°, I 15, hkl 1 0 1
- 2θ = 30.63°, I 100, hkl 1 1 1
- 2θ = 35.21°, I 40, hkl 0 0 2
- 2θ = 35.66°, I 77, hkl 2 0 0
- 2θ = 50.98°, I 54, hkl 2 0 2
- 2θ = 51.32°, I 26, hkl 2 2 0
- 2θ = 60.35°, I 14, hkl 1 1 3
- 2θ = 60.96°, I 27, hkl 3 1 1
- 2θ = 63.77°, I 27, hkl 2 2 2
- 2θ = 85.37°, I 12, hkl 2 0 4
- 2θ = 86.16°, I 12, hkl 4 0 2
- 2θ = 86.42°, I 12, hkl 4 2 0

Atomic structure:
Cell lengths 5.0354, 5.0354, 5.0983 Å; angles 90.00, 90.00, 90.00 degrees
Space group P4/mmm (No. 123)
Symmetry-distinct sites (fractional):
1 Sr 0.0000 0.0000 0.0000 [1 per cell]
2 Cu 0.5000 0.5000 0.5000 [1 per cell]
3 Se 0.5000 0.5000 0.0000 [1 per cell]
4 Br 0.0000 0.5000 0.5000 [2 per cell]

---

4.
Simulated powder X-ray diffraction pattern
Compound: NdNbNi
Radiation: copper Kα
Structure: a crystal structure in Alexandria, relaxed with GGA-PBE
No peak broadening, texture or thermal motion is included.

Main lines, sorted by position (2θ = 10–90°):
- 2θ = 24.79°, I 7, hkl 3 0 0
- 2θ = 27.76°, I 17, hkl 1 1 1
- 2θ = 31.33°, I 13, hkl 2 1 1
- 2θ = 36.58°, I 100, hkl 3 1 1
- 2θ = 37.56°, I 29, hkl 0 0 2
- 2θ = 38.01°, I 29, hkl 0 2 0
- 2θ = 41.92°, I 5, hkl 5 0 0
- 2θ = 54.51°, I 20, hkl 0 2 2
- 2θ = 58.22°, I 9, hkl 6 1 1
- 2θ = 67.15°, I 16, hkl 3 1 3
- 2θ = 67.74°, I 16, hkl 3 3 1
- 2θ = 77.76°, I 5, hkl 6 2 2

Atomic structure:
Cell lengths 10.7761, 4.7342, 4.7890 Å; angles 90.00, 90.00, 90.00 degrees
Space group Amm2 (No. 38)
Symmetry-distinct sites (fractional):
1 Nd 0.1664 0.0000 0.0000 [4 per cell]
2 Nb 0.3804 0.0000 0.5013 [4 per cell]
3 Ni 0.0000 0.0000 0.4976 [2 per cell]
4 Ni 0.5000 0.0000 0.0273 [2 per cell]

---

5.
Simulated powder X-ray diffraction pattern
Compound: Sm3ScB2N6
Radiation: copper Kα
Structure: a crystal structure in Alexandria, relaxed with GGA-PBE
No peak broadening, texture or thermal motion is included.

Main lines, sorted by position (2θ = 10–90°):
- 2θ = 23.68°, I 100, hkl 1 0 1
- 2θ = 32.71°, I 83, hkl 1 1 0
- 2θ = 34.75°, I 71, hkl 0 1 2
- 2θ = 40.78°, I 42, hkl 0 2 1
- 2θ = 48.46°, I 36, hkl 2 0 2
- 2θ = 53.23°, I 26, hkl 2 1 1
- 2θ = 56.00°, I 24, hkl 1 1 3
- 2θ = 58.38°, I 16, hkl 3 0 0
- 2θ = 59.70°, I 28, hkl 1 2 2
- 2θ = 68.55°, I 13, hkl 2 2 0
- 2θ = 79.20°, I 13, hkl 3 1 2
- 2θ = 82.64°, I 12, hkl 2 1 4

Atomic structure:
Cell lengths 5.4755, 5.4755, 6.1561 Å; angles 90.00, 90.00, 120.00 degrees
Space group P-3m1 (No. 164)
Symmetry-distinct sites (fractional):
1 Sm 0.0000 0.0000 0.0000 [1 per cell]
2 Sm 0.3333 0.6667 0.6617 [2 per cell]
3 Sc 0.0000 0.0000 0.5000 [1 per cell]
4 B 0.3333 0.6667 0.2521 [2 per cell]
5 N 0.1811 0.3621 0.2811 [6 per cell]

---

6.
Simulated powder X-ray diffraction pattern
Compound: BeTcIr
Radiation: copper Kα
Structure: a crystal structure in Alexandria, relaxed with GGA-PBE
No peak broadening, texture or thermal motion is included.

Main lines, sorted by position (2θ = 10–90°):
- 2θ = 19.12°, I 24, hkl 0 2 0
- 2θ = 22.20°, I 13, hkl 0 0 1
- 2θ = 33.22°, I 62, hkl 1 1 1
- 2θ = 38.79°, I 18, hkl 0 4 0
- 2θ = 43.42°, I 100, hkl 1 3 1
- 2θ = 45.30°, I 23, hkl 0 0 2
- 2θ = 45.72°, I 23, hkl 2 0 0
- 2θ = 59.75°, I 12, hkl 0 6 0
- 2θ = 66.32°, I 15, hkl 2 0 2
- 2θ = 79.93°, I 12, hkl 1 7 1
- 2θ = 82.35°, I 16, hkl 1 3 3
- 2θ = 82.95°, I 15, hkl 3 3 1

Atomic structure:
Cell lengths 3.9692, 9.2853, 4.0036 Å; angles 90.00, 90.00, 90.00 degrees
Space group Cmmm (No. 65)
Symmetry-distinct sites (fractional):
1 Be 0.0000 0.0000 0.0000 [2 per cell]
2 Be 0.0000 0.5000 0.5000 [2 per cell]
3 Tc 0.0000 0.1598 0.5000 [4 per cell]
4 Ir 0.0000 0.3480 0.0000 [4 per cell]

---

7.
Simulated powder X-ray diffraction pattern
Compound: AlGeW
Radiation: copper Kα
Structure: a crystal structure in Alexandria, relaxed with GGA-PBE
No peak broadening, texture or thermal motion is included.

Main lines, sorted by position (2θ = 10–90°):
- 2θ = 21.05°, I 31, hkl 0 2 0
- 2θ = 29.02°, I 56, hkl 1 1 1
- 2θ = 38.39°, I 33, hkl 2 0 0
- 2θ = 38.67°, I 32, hkl 0 0 2
- 2θ = 42.18°, I 100, hkl 1 3 1
- 2θ = 44.18°, I 10, hkl 2 2 0
- 2θ = 44.43°, I 9, hkl 0 2 2
- 2θ = 55.62°, I 22, hkl 2 0 2
- 2θ = 60.14°, I 8, hkl 2 2 2
- 2θ = 72.02°, I 21, hkl 3 3 1
- 2θ = 72.38°, I 20, hkl 1 3 3
- 2θ = 79.43°, I 8, hkl 2 6 0

Atomic structure:
Cell lengths 4.6897, 8.4421, 4.6573 Å; angles 90.00, 90.00, 90.00 degrees
Space group Cmmm (No. 65)
Symmetry-distinct sites (fractional):
1 Al 0.0000 0.1641 0.0000 [4 per cell]
2 Ge 0.0000 0.3342 0.5000 [4 per cell]
3 W 0.0000 0.0000 0.5000 [2 per cell]
4 W 0.0000 0.5000 0.0000 [2 per cell]

---

8.
Simulated powder X-ray diffraction pattern
Compound: Ac2Zn3
Radiation: copper Kα
Structure: a crystal structure in Alexandria, relaxed with GGA-PBE
No peak broadening, texture or thermal motion is included.

Main lines, sorted by position (2θ = 10–90°):
- 2θ = 22.40°, I 45, hkl 0 4 1
- 2θ = 24.58°, I 16, hkl 0 8 0
- 2θ = 30.77°, I 100, hkl 1 3 1
- 2θ = 31.20°, I 65, hkl 1 7 0
- 2θ = 33.22°, I 18, hkl 1 5 1
- 2θ = 36.34°, I 36, hkl 0 10 1
- 2θ = 37.93°, I 30, hkl 0 0 2
- 2θ = 45.66°, I 24, hkl 2 0 0
- 2θ = 49.90°, I 35, hkl 1 7 2
- 2θ = 52.69°, I 14, hkl 1 15 0
- 2θ = 59.69°, I 17, hkl 2 10 1
- 2θ = 60.79°, I 20, hkl 2 0 2

Atomic structure:
Cell lengths 3.9753, 28.9690, 4.7446 Å; angles 90.00, 90.00, 90.00 degrees
Space group Cmcm (No. 63)
Symmetry-distinct sites (fractional):
1 Ac 0.0000 0.0701 0.2500 [4 per cell]
2 Ac 0.0000 0.2059 0.7500 [4 per cell]
3 Zn 0.0000 0.3340 0.7500 [4 per cell]
4 Zn 0.0000 0.3843 0.2500 [4 per cell]
5 Zn 0.0000 0.4771 0.2500 [4 per cell]

---

9.
Simulated powder X-ray diffraction pattern
Compound: TaTiNbRe
Radiation: copper Kα
Structure: a crystal structure in Alexandria, relaxed with GGA-PBE
No peak broadening, texture or thermal motion is included.

Main lines, sorted by position (2θ = 10–90°):
- 2θ = 19.15°, I 23, hkl 0 0 2
- 2θ = 34.33°, I 11, hkl 1 1 0
- 2θ = 38.86°, I 21, hkl 0 0 4
- 2θ = 39.60°, I 100, hkl 0 2 0
- 2θ = 44.33°, I 6, hkl 0 2 2
- 2θ = 52.81°, I 7, hkl 1 1 4
- 2θ = 56.68°, I 14, hkl 0 2 4
- 2θ = 57.82°, I 7, hkl 2 0 0
- 2θ = 70.87°, I 14, hkl 1 1 6
- 2θ = 71.85°, I 20, hkl 1 3 2
- 2θ = 72.36°, I 7, hkl 2 2 0
- 2θ = 85.30°, I 11, hkl 0 4 0

Atomic structure:
Cell lengths 3.1891, 4.5526, 9.2691 Å; angles 90.00, 90.00, 90.00 degrees
Space group Imm2 (No. 44)
Symmetry-distinct sites (fractional):
1 Ta 0.0000 0.0000 0.0000 [2 per cell]
2 Ti 0.0000 0.5000 0.2349 [2 per cell]
3 Nb 0.0000 0.5000 0.7584 [2 per cell]
4 Re 0.0000 0.0000 0.4956 [2 per cell]

---

10.
Simulated powder X-ray diffraction pattern
Compound: Ho12Ni6Ag
Radiation: copper Kα
Structure: a crystal structure in Alexandria, relaxed with GGA-PBE
No peak broadening, texture or thermal motion is included.

Main lines, sorted by position (2θ = 10–90°):
- 2θ = 28.72°, I 61, hkl 1 2 2
- 2θ = 29.20°, I 100, hkl 1 3 1
- 2θ = 30.90°, I 41, hkl 0 0 3
- 2θ = 33.66°, I 37, hkl 2 -1 3
- 2θ = 34.35°, I 58, hkl 4 -1 2
- 2θ = 34.76°, I 47, hkl 5 -2 1
- 2θ = 34.90°, I 75, hkl 4 1 0
- 2θ = 38.65°, I 21, hkl 0 3 3
- 2θ = 39.63°, I 22, hkl 0 5 1
- 2θ = 43.71°, I 19, hkl 5 0 2
- 2θ = 47.30°, I 27, hkl 5 -1 3
- 2θ = 58.40°, I 20, hkl 7 -5 3

Atomic structure:
Cell lengths 13.6039, 13.6039, 8.6806 Å; angles 90.00, 90.00, 120.00 degrees
Space group R-3 (No. 148, hexagonal axes)
Symmetry-distinct sites (fractional):
1 Ho 0.0388 0.7831 0.4275 [18 per cell]
2 Ho 0.0591 0.8803 0.8307 [18 per cell]
3 Ni 0.0730 0.5726 0.7857 [18 per cell]
4 Ag 0.0000 0.0000 0.5000 [3 per cell]

---

11.
Simulated powder X-ray diffraction pattern
Compound: RhPb5
Radiation: copper Kα
Structure: a crystal structure in Alexandria, relaxed with GGA-PBE
No peak broadening, texture or thermal motion is included.

Main lines, sorted by position (2θ = 10–90°):
- 2θ = 29.20°, I 59, hkl 2 1 1
- 2θ = 31.61°, I 44, hkl 1 1 4
- 2θ = 34.62°, I 100, hkl 2 1 3
- 2θ = 36.23°, I 14, hkl 2 2 0
- 2θ = 36.55°, I 44, hkl 2 0 4
- 2θ = 39.20°, I 15, hkl 0 0 6
- 2θ = 40.68°, I 50, hkl 3 1 0
- 2θ = 55.05°, I 27, hkl 2 1 7
- 2θ = 57.79°, I 32, hkl 4 1 3
- 2θ = 59.12°, I 16, hkl 4 0 4
- 2θ = 62.29°, I 25, hkl 3 3 4
- 2θ = 75.94°, I 13, hkl 5 2 3

Atomic structure:
Cell lengths 7.0131, 7.0131, 13.7898 Å; angles 90.00, 90.00, 90.00 degrees
Space group I4/mcm (No. 140)
Symmetry-distinct sites (fractional):
1 Rh 0.0000 0.0000 0.2500 [4 per cell]
2 Pb 0.0000 0.0000 0.0000 [4 per cell]
3 Pb 0.1615 0.3385 0.1502 [16 per cell]

---

12.
Simulated powder X-ray diffraction pattern
Compound: Cs11AgHg2
Radiation: copper Kα
Structure: a crystal structure in Alexandria, relaxed with GGA-PBE
No peak broadening, texture or thermal motion is included.

Main lines, sorted by position (2θ = 10–90°):
- 2θ = 11.82°, I 100, hkl 1 1 2
- 2θ = 12.25°, I 43, hkl 1 2 1
- 2θ = 19.25°, I 32, hkl 0 4 0
- 2θ = 23.29°, I 59, hkl 2 3 3
- 2θ = 23.77°, I 63, hkl 2 2 4
- 2θ = 24.29°, I 66, hkl 1 4 3
- 2θ = 24.92°, I 27, hkl 4 0 0
- 2θ = 25.28°, I 57, hkl 3 3 2
- 2θ = 26.29°, I 36, hkl 3 1 4
- 2θ = 26.50°, I 46, hkl 1 5 2
- 2θ = 26.76°, I 85, hkl 0 0 6
- 2θ = 27.58°, I 29, hkl 2 5 1

Atomic structure:
Cell lengths 14.2920, 18.4390, 19.9916 Å; angles 90.00, 90.00, 90.00 degrees
Space group Ibam (No. 72)
Symmetry-distinct sites (fractional):
1 Cs 0.0000 0.0000 0.0000 [4 per cell]
2 Cs 0.1131 0.2933 0.1630 [16 per cell]
3 Cs 0.1237 0.2218 0.5000 [8 per cell]
4 Cs 0.1957 0.4523 0.3727 [16 per cell]
5 Ag 0.0000 0.5000 0.2500 [4 per cell]
6 Hg 0.1490 0.1721 0.0000 [8 per cell]